(1)
PrFeCu: theoretical powder diffraction line list (Cu Kα), based on a cell relaxed with GGA-PBE.

Main lines, most intense first (2θ = 15–90°):
| 2theta | I_rel |
| --- | --- |
| 39.90 | 100 |
| 36.48 | 88 |
| 33.97 | 40 |
| 40.89 | 36 |
| 62.44 | 25 |
| 34.08 | 19 |
| 67.33 | 18 |
| 40.76 | 18 |
| 64.91 | 15 |
| 71.50 | 14 |
| 67.23 | 12 |
| 62.59 | 12 |

Cell lengths 8.7743, 5.2779, 5.2779 Å; angles 59.79, 90.00, 90.00 degrees
Sites, in units of the cell vectors:
Pr (0.1876, 0.0000, 0.0000)
Pr (0.3108, 0.3342, 0.3342)
Pr (0.6892, 0.3342, 0.3342)
Pr (0.8124, 0.0000, 0.0000)
Fe (0.0000, 0.5029, 0.5029)
Fe (0.0000, 0.5029, 0.9941)
Fe (0.0000, 0.9941, 0.5029)
Fe (0.5000, 0.8289, 0.8289)
Cu (0.2459, 0.6688, 0.6688)
Cu (0.5000, 0.3395, 0.8297)
Cu (0.5000, 0.8297, 0.3395)
Cu (0.7541, 0.6688, 0.6688)


(2)
Mn2SnRu: theoretical powder diffraction line list (Cu Kα), based on a cell relaxed with GGA-PBE.

Main lines, most intense first (2θ = 15–90°):
| 2theta | I_rel |
| --- | --- |
| 40.62 | 100 |
| 73.92 | 33 |
| 58.80 | 16 |
| 24.55 | 14 |
| 87.94 | 11 |
| 48.04 | 8 |
| 64.68 | 3 |
| 79.25 | 3 |

Cell lengths 6.2813, 6.2813, 6.2813 Å; angles 90.00, 90.00, 90.00 degrees
Sites, in units of the cell vectors:
Mn (0.0000, 0.0000, 0.0000)
Mn (0.0000, 0.5000, 0.5000)
Mn (0.2500, 0.2500, 0.2500)
Mn (0.2500, 0.7500, 0.7500)
Mn (0.5000, 0.0000, 0.5000)
Mn (0.5000, 0.5000, 0.0000)
Mn (0.7500, 0.2500, 0.7500)
Mn (0.7500, 0.7500, 0.2500)
Sn (0.0000, 0.0000, 0.5000)
Sn (0.0000, 0.5000, 0.0000)
Sn (0.5000, 0.0000, 0.0000)
Sn (0.5000, 0.5000, 0.5000)
Ru (0.2500, 0.2500, 0.7500)
Ru (0.2500, 0.7500, 0.2500)
Ru (0.7500, 0.2500, 0.2500)
Ru (0.7500, 0.7500, 0.7500)


(3)
SmSiO3: theoretical powder diffraction line list (Cu Kα), based on a cell relaxed with GGA-PBE.

Main lines, most intense first (2θ = 15–90°):
| 2theta | I_rel |
| --- | --- |
| 33.63 | 100 |
| 23.61 | 49 |
| 41.50 | 41 |
| 60.14 | 39 |
| 48.30 | 34 |
| 54.44 | 23 |
| 70.71 | 20 |
| 80.62 | 17 |
| 85.45 | 13 |
| 75.72 | 11 |

Cell lengths 3.7685, 3.7685, 3.7685 Å; angles 90.00, 90.00, 90.00 degrees
Sites, in units of the cell vectors:
Sm (0.0000, 0.0000, 0.0000)
Si (0.5000, 0.5000, 0.5000)
O (0.0000, 0.5000, 0.5000)
O (0.5000, 0.0000, 0.5000)
O (0.5000, 0.5000, 0.0000)


(4)
Zn2Sn2O5: theoretical powder diffraction line list (Cu Kα), based on a cell relaxed with GGA-PBE.

Main lines, most intense first (2θ = 15–90°):
| 2theta | I_rel |
| --- | --- |
| 33.99 | 100 |
| 29.05 | 59 |
| 31.39 | 54 |
| 29.64 | 52 |
| 51.80 | 33 |
| 53.36 | 29 |
| 55.30 | 28 |
| 56.43 | 24 |
| 28.07 | 24 |
| 30.85 | 19 |
| 40.05 | 19 |
| 55.60 | 19 |

Cell lengths 3.3062, 12.0556, 6.3568 Å; angles 90.00, 90.00, 90.00 degrees
Sites, in units of the cell vectors:
Zn (0.0000, 0.1548, 0.0000)
Zn (0.0000, 0.3427, 0.6552)
Zn (0.0000, 0.6573, 0.1552)
Zn (0.0000, 0.8452, 0.5000)
Sn (0.5000, 0.1029, 0.4824)
Sn (0.5000, 0.3963, 0.1738)
Sn (0.5000, 0.6037, 0.6738)
Sn (0.5000, 0.8971, 0.9824)
O (0.0000, 0.1663, 0.6752)
O (0.0000, 0.3338, 0.9867)
O (0.0000, 0.6662, 0.4867)
O (0.0000, 0.8337, 0.1752)
O (0.5000, 0.0694, 0.0850)
O (0.5000, 0.2539, 0.3392)
O (0.5000, 0.4341, 0.5837)
O (0.5000, 0.5659, 0.0837)
O (0.5000, 0.7461, 0.8392)
O (0.5000, 0.9306, 0.5850)


(5)
BaTbCuBO5: theoretical powder diffraction line list (Cu Kα), based on a cell relaxed with GGA-PBE.

Main lines, most intense first (2θ = 15–90°):
| 2theta | I_rel |
| --- | --- |
| 33.13 | 100 |
| 32.63 | 47 |
| 58.54 | 36 |
| 22.91 | 33 |
| 40.66 | 31 |
| 46.81 | 26 |
| 59.50 | 17 |
| 23.60 | 16 |
| 69.53 | 11 |
| 54.09 | 11 |
| 52.74 | 10 |
| 53.08 | 9 |

Cell lengths 5.4890, 5.4890, 7.5390 Å; angles 90.00, 90.00, 90.00 degrees
Sites, in units of the cell vectors:
Ba (0.0000, 0.0000, 0.0000)
Ba (0.5000, 0.5000, 0.0000)
Tb (0.0000, 0.0000, 0.5063)
Tb (0.5000, 0.5000, 0.5063)
Cu (0.0000, 0.5000, 0.7210)
Cu (0.5000, 0.0000, 0.7210)
B (0.0000, 0.5000, 0.2486)
B (0.5000, 0.0000, 0.2486)
O (0.0000, 0.5000, 0.0629)
O (0.1577, 0.3423, 0.3364)
O (0.2475, 0.7475, 0.7023)
O (0.2525, 0.2475, 0.7023)
O (0.3423, 0.8423, 0.3364)
O (0.5000, 0.0000, 0.0629)
O (0.6577, 0.1577, 0.3364)
O (0.7475, 0.7525, 0.7023)
O (0.7525, 0.2525, 0.7023)
O (0.8423, 0.6577, 0.3364)